Diffraction record for Na4Pt. The powder diffractogram is computed, not measured: it uses a DFT-relaxed cell (GGA-PBE, the Materials Project) and Cu Kα (λ = 1.5418 Å).

The 8 most intense peaks (15 to 90 degrees two-theta), in order of rising 2θ:
Position (°2θ)	I (rel.)
21.95	100
25.79	62
34.12	41
38.50	46
40.94	31
44.75	33
46.92	23
60.48	27

Atomic structure:
```
Na4Pt
1.0
0.0000 5.7278 5.7278
5.7278 0.0000 5.7278
5.7278 5.7278 0.0000
Na Pt
8 2
Direct
0.2145 0.7618 0.7618
0.2382 0.2382 0.2382
0.2382 0.2382 0.7855
0.2382 0.7855 0.2382
0.7618 0.2145 0.7618
0.7618 0.7618 0.2145
0.7618 0.7618 0.7618
0.7855 0.2382 0.2382
0.3750 0.3750 0.3750
0.6250 0.6250 0.6250
```